Structure and calculated XRD peak list of YMg6MnO8 (a cell relaxed with GGA+U; λ = 1.5418 Å (Cu Kα)).

Atomic structure:
Cell: 4.4662 4.4662 8.9626 Å, 90.00 90.00 90.00°
Space group P4/mmm (No. 123)
One atom of each set of equivalent atoms:
Y: 0.0000 0.0000 0.0000 [1 per cell]
Mg: 0.0000 0.5000 0.2647 [4 per cell]
Mg: 0.5000 0.5000 0.0000 [1 per cell]
Mg: 0.5000 0.5000 0.5000 [1 per cell]
Mn: 0.0000 0.0000 0.5000 [1 per cell]
O: 0.0000 0.0000 0.2532 [2 per cell]
O: 0.0000 0.5000 0.0000 [2 per cell]
O: 0.0000 0.5000 0.5000 [2 per cell]
O: 0.5000 0.5000 0.2526 [2 per cell]

Principal peaks in the range 2θ from 10° to 80°, by angle:
| d (Å) | I_rel |
| --- | --- |
| 4.471 | 48.6 |
| 3.162 | 39.9 |
| 2.581 | 45.8 |
| 2.241 | 48.9 |
| 2.233 | 100.0 |
| 1.825 | 16.1 |
| 1.582 | 57.2 |
| 1.579 | 29.5 |
| 1.347 | 15.3 |
| 1.291 | 26.2 |